Structure and calculated PXRD pattern of Zn2MoW2O8 (a structure optimized by DFT (PBE+U); copper Kα).

Most intense lines, 2θ from 10° to 90°, low angle first:
18.7°, 4.747 Å, rel. 100, hkl 0 0 2; 32.7°, 2.739 Å, rel. 24, hkl 2 0 0; 32.8°, 2.730 Å, rel. 34, hkl 2 -2 0; 33.7°, 2.663 Å, rel. 35, hkl 0 2 -1; 34.0°, 2.639 Å, rel. 43, hkl 0 2 1; 34.2°, 2.623 Å, rel. 84, hkl 2 -2 1

Atomic structure:
```
data_Zn2MoW2O8
_cell_length_a 6.2885
_cell_length_b 6.3475
_cell_length_c 9.4976
_cell_angle_alpha 90.64
_cell_angle_beta 90.24
_cell_angle_gamma 119.50
_space_group_name_H-M_alt 'P 1'
_space_group_IT_number 1
_space_group_name_Hall 'P 1'
loop_
_atom_site_label
_atom_site_type_symbol
_atom_site_fract_x
_atom_site_fract_y
_atom_site_fract_z
Zn1 Zn 0.0000 0.0000 0.0000
Zn2 Zn 0.0124 0.0170 0.3789
Zn3 Zn 0.6540 0.3191 0.5013
Zn4 Zn 0.6747 0.3351 0.8762
Mo1 Mo 0.1624 0.3314 0.6758
Mo2 Mo 0.1625 0.8256 0.6711
W1 W 0.0089 0.5087 0.1736
W2 W 0.5018 0.0007 0.1724
W3 W 0.5027 0.5081 0.1726
W4 W 0.6537 0.8199 0.6719
O1 O 0.1729 0.8397 0.2732
O2 O 0.1764 0.3470 0.2741
O3 O 0.2958 0.1498 0.5466
O4 O 0.3354 0.6707 0.0615
O5 O 0.3379 0.6559 0.5627
O6 O 0.3689 0.1866 0.0482
O7 O 0.4973 0.4976 0.7738
O8 O 0.5230 0.9909 0.7758
O9 O 0.6719 0.3388 0.2901
O10 O 0.6718 0.8393 0.2718
O11 O 0.8186 0.6350 0.0480
O12 O 0.8205 0.1871 0.0513
O13 O 0.8206 0.6836 0.5530
O14 O 0.8411 0.1345 0.5477
O15 O 0.9836 0.9926 0.7883
O16 O 0.9983 0.4845 0.7746
```